# 1
# ZrMn2
Calculated XRD peak list, a wavelength of 1.5418 Å. Input: a cell relaxed with PBE.
Kinematic intensities with the Lorentz-polarization factor, no thermal factor.

Top 8 peaks for 2θ = 10–80°, in order of falling intensity:
- 42.72°, intensity 100
- 38.95°, intensity 92
- 43.79°, intensity 69
- 36.43°, intensity 48
- 67.25°, intensity 32
- 72.37°, intensity 28
- 77.40°, intensity 22
- 69.89°, intensity 21

Structural model:
abc: 4.932 4.932 8.251
angles: 90.00 90.00 120.00
Atoms (fractional coordinates):
Zr  0.333  0.667  0.064
Zr  0.333  0.667  0.436
Zr  0.667  0.333  0.564
Zr  0.667  0.333  0.936
Mn  0.000  0.000  0.000
Mn  0.000  0.000  0.500
Mn  0.170  0.339  0.750
Mn  0.170  0.830  0.750
Mn  0.339  0.170  0.250
Mn  0.661  0.830  0.750
Mn  0.830  0.170  0.250
Mn  0.830  0.661  0.250

---

# 2
# CsDy2Cl7
Calculated XRD peak list, a wavelength of 1.5418 Å. Input: a cell relaxed with PBE.
Kinematic intensities with the Lorentz-polarization factor, no thermal factor.

Top 8 peaks for 2θ = 10–80°, in order of falling intensity:
- 19.17°, intensity 100
- 25.25°, intensity 61
- 12.66°, intensity 57
- 36.15°, intensity 32
- 40.67°, intensity 29
- 34.06°, intensity 28
- 38.57°, intensity 26
- 31.16°, intensity 19

Structural model:
abc: 13.980 7.065 12.761
angles: 90.00 90.00 90.00
Atoms (fractional coordinates):
Cs  0.042  0.250  0.196
Cs  0.458  0.750  0.696
Cs  0.542  0.250  0.304
Cs  0.958  0.750  0.804
Dy  0.238  0.250  0.541
Dy  0.250  0.250  0.844
Dy  0.250  0.750  0.344
Dy  0.262  0.750  0.041
Dy  0.738  0.250  0.959
Dy  0.750  0.250  0.656
Dy  0.750  0.750  0.156
Dy  0.762  0.750  0.459
Cl  0.114  0.750  0.189
Cl  0.127  0.009  0.425
Cl  0.127  0.491  0.425
Cl  0.137  0.010  0.960
Cl  0.137  0.490  0.960
Cl  0.179  0.013  0.694
Cl  0.179  0.487  0.694
Cl  0.321  0.513  0.194
Cl  0.321  0.987  0.194
Cl  0.363  0.510  0.460
Cl  0.363  0.990  0.460
Cl  0.373  0.509  0.925
Cl  0.373  0.991  0.925
Cl  0.386  0.250  0.689
Cl  0.614  0.750  0.311
Cl  0.627  0.009  0.075
Cl  0.627  0.491  0.075
Cl  0.637  0.010  0.540
Cl  0.637  0.490  0.540
Cl  0.679  0.013  0.806
Cl  0.679  0.487  0.806
Cl  0.821  0.513  0.306
Cl  0.821  0.987  0.306
Cl  0.863  0.510  0.040
Cl  0.863  0.990  0.040
Cl  0.873  0.509  0.575
Cl  0.873  0.991  0.575
Cl  0.886  0.250  0.811

---

# 3
# Cs4P2Se9
Calculated XRD peak list, a wavelength of 1.5418 Å. Input: a cell relaxed with PBE.
Kinematic intensities with the Lorentz-polarization factor, no thermal factor.

Top 8 peaks for 2θ = 10–80°, in order of falling intensity:
- 26.62°, intensity 100
- 24.82°, intensity 92
- 26.99°, intensity 77
- 25.64°, intensity 70
- 29.40°, intensity 61
- 30.34°, intensity 57
- 33.95°, intensity 50
- 31.76°, intensity 45

Structural model:
abc: 7.558 7.558 20.123
angles: 92.66 92.66 92.79
Atoms (fractional coordinates):
Cs  0.216  0.717  0.525
Cs  0.243  0.437  0.174
Cs  0.283  0.784  0.975
Cs  0.437  0.243  0.674
Cs  0.563  0.757  0.326
Cs  0.717  0.216  0.025
Cs  0.757  0.563  0.826
Cs  0.784  0.283  0.475
P  0.253  0.268  0.377
P  0.268  0.253  0.877
P  0.732  0.747  0.123
P  0.747  0.732  0.623
Se  0.015  0.060  0.849
Se  0.060  0.015  0.349
Se  0.094  0.906  0.750
Se  0.112  0.506  0.355
Se  0.209  0.282  0.983
Se  0.248  0.492  0.820
Se  0.282  0.209  0.483
Se  0.492  0.248  0.320
Se  0.494  0.888  0.145
Se  0.506  0.112  0.855
Se  0.508  0.752  0.680
Se  0.718  0.791  0.517
Se  0.752  0.508  0.180
Se  0.791  0.718  0.017
Se  0.888  0.494  0.645
Se  0.906  0.094  0.250
Se  0.940  0.985  0.651
Se  0.985  0.940  0.151

---

# 4
# Pu3Pd4
Calculated XRD peak list, a wavelength of 1.5418 Å. Input: a cell relaxed with PBE.
Kinematic intensities with the Lorentz-polarization factor, no thermal factor.

Top 8 peaks for 2θ = 10–80°, in order of falling intensity:
- 35.42°, intensity 100
- 37.29°, intensity 62
- 31.82°, intensity 42
- 25.50°, intensity 27
- 64.78°, intensity 22
- 31.96°, intensity 21
- 52.38°, intensity 19
- 42.04°, intensity 17

Structural model:
abc: 7.977 7.977 7.977
angles: 114.38 114.38 114.38
Atoms (fractional coordinates):
Pu  0.028  0.405  0.288
Pu  0.288  0.028  0.405
Pu  0.405  0.288  0.028
Pu  0.595  0.712  0.972
Pu  0.712  0.972  0.595
Pu  0.972  0.595  0.712
Pd  0.000  0.000  0.000
Pd  0.058  0.220  0.549
Pd  0.220  0.549  0.058
Pd  0.451  0.942  0.780
Pd  0.500  0.500  0.500
Pd  0.549  0.058  0.220
Pd  0.780  0.451  0.942
Pd  0.942  0.780  0.451